Entry 1:
Starting from a DFT-relaxed cell (GGA-PBE, Alexandria), the PXRD pattern of Pm2Dy5In was computed for CuKα.
Kinematic intensities with the Lorentz-polarization factor, no thermal factor.

Peak list (10 most intense, 2θ = 10–90°, in order of rising 2θ)
2θ (°)	Rel. int.
31.17	100
35.33	17
36.55	33
51.75	23
52.65	12
60.84	13
62.47	27
65.01	12
84.62	11
86.05	6

Structure:
```
data_Pm2Dy5In
_chemical_formula_sum 'Pm4 Dy10 In2'
_space_group_name_H-M_alt 'I 4/m m m'
_space_group_IT_number 139
_space_group_name_Hall '-I 4 2'
_cell_length_a 4.9168
_cell_length_b 4.9168
_cell_length_c 20.3214
_cell_angle_alpha 90.00
_cell_angle_beta 90.00
_cell_angle_gamma 90.00
loop_
_atom_site_label
_atom_site_type_symbol
_atom_site_fract_x
_atom_site_fract_y
_atom_site_fract_z
Pm1 Pm 0.0000 0.0000 0.2450
Dy1 Dy 0.0000 0.0000 0.0000
Dy2 Dy 0.0000 0.5000 0.1195
In1 In 0.0000 0.0000 0.5000
```

***

Entry 2:
Starting from a DFT-relaxed cell (GGA-PBE, Alexandria), the PXRD pattern of Li2Ca2InAg5 was computed for CuKα.
Kinematic intensities with the Lorentz-polarization factor, no thermal factor.

Peak list (10 most intense, 2θ = 10–90°, in order of rising 2θ)
2θ (°)	Rel. int.
22.40	34
29.90	29
33.66	43
35.35	20
35.97	100
36.47	42
39.22	29
39.68	25
45.72	25
69.60	25

Structure:
```
data_Li2Ca2InAg5
_chemical_formula_sum 'Li4 Ca4 In2 Ag10'
_space_group_name_H-M_alt 'P 4/m b m'
_space_group_IT_number 127
_space_group_name_Hall '-P 4 2ab'
_cell_length_a 10.1577
_cell_length_b 10.1577
_cell_length_c 3.9687
_cell_angle_alpha 90.00
_cell_angle_beta 90.00
_cell_angle_gamma 90.00
loop_
_atom_site_label
_atom_site_type_symbol
_atom_site_fract_x
_atom_site_fract_y
_atom_site_fract_z
Li1 Li 0.1171 0.3829 0.0000
Ca1 Ca 0.1807 0.6807 0.0000
In1 In 0.0000 0.0000 0.0000
Ag1 Ag 0.0000 0.5000 0.5000
Ag2 Ag 0.0598 0.2100 0.5000
```

***

Entry 3:
Starting from a DFT-relaxed cell (GGA-PBE, Alexandria), the PXRD pattern of Sn3BiSb4 was computed for CuKα.
Kinematic intensities with the Lorentz-polarization factor, no thermal factor.

Peak list (10 most intense, 2θ = 10–90°, in order of rising 2θ)
2θ (°)	Rel. int.
21.90	93
27.54	29
28.78	45
34.43	100
41.18	18
43.79	19
45.48	78
61.68	19
69.46	24
79.89	17

Structure:
```
data_Sn3BiSb4
_chemical_formula_sum 'Sn9 Bi3 Sb12'
_space_group_name_H-M_alt 'R 3 m'
_space_group_IT_number 160
_space_group_name_Hall 'R 3 -2"'
_cell_length_a 5.2090
_cell_length_b 5.2090
_cell_length_c 37.2194
_cell_angle_alpha 90.00
_cell_angle_beta 90.00
_cell_angle_gamma 120.00
loop_
_atom_site_label
_atom_site_type_symbol
_atom_site_fract_x
_atom_site_fract_y
_atom_site_fract_z
Sn1 Sn 0.0000 0.0000 0.0000
Sn2 Sn 0.0000 0.0000 0.2397
Sn3 Sn 0.0000 0.0000 0.7358
Bi1 Bi 0.0000 0.0000 0.4949
Sb1 Sb 0.0000 0.0000 0.1612
Sb2 Sb 0.0000 0.0000 0.4148
Sb3 Sb 0.0000 0.0000 0.6580
Sb4 Sb 0.0000 0.0000 0.9212
```